[1]
Simulated PXRD pattern
Compound: RbCrGa2Br8
Radiation: λ = 1.5418 Å (Cu Kα)
Structure: a DFT-relaxed cell (PBE, Alexandria)
Peak positions follow from Bragg's law for the DFT cell and can differ from measured ones.

Cell and atoms:
```
12
Lattice="3.4313 1.9810 10.0137 -3.4313 1.9810 10.0137 0.0000 -3.9621 10.0137" Properties=species:S:1:pos:R:3 pbc="T T T"
Rb 0.0000 0.0000 0.0000
Cr 0.0000 0.0000 15.0205
Ga 0.0000 0.0000 7.4034
Ga 0.0000 0.0000 22.6377
Br -2.2469 -0.0256 13.3609
Br -1.1013 -1.9587 16.6802
Br 0.0000 0.0000 9.7832
Br 1.1457 -1.9331 13.3609
Br -1.1457 1.9331 16.6802
Br 0.0000 0.0000 20.2579
Br 1.1013 1.9587 13.3609
Br 2.2469 0.0256 16.6802
```

Most intense lines, 2θ = 10–90°, low angle first:
2theta  I_rel
19.0  31
26.7  38
27.5  100
31.6  64
44.8  49
45.8  46
53.8  32
54.2  15
66.0  15
84.1  16

[2]
Simulated PXRD pattern
Compound: TlCrGe2Br8
Radiation: λ = 1.5418 Å (Cu Kα)
Structure: a DFT-relaxed cell (PBE, Alexandria)
Peak positions follow from Bragg's law for the DFT cell and can differ from measured ones.

Cell and atoms:
```
12
Lattice="7.1038 0.0000 0.0000 -3.5442 6.1927 0.0000 -0.0090 -0.0136 8.7408" Properties=species:S:1:pos:R:3 pbc="T T T"
Tl 0.0000 0.0000 0.0000
Cr -0.0045 -0.0068 4.3704
Ge -0.0065 4.1223 5.8160
Ge 3.5571 2.0569 2.9248
Br -2.2543 4.5961 2.8976
Br 0.7195 1.9077 2.8903
Br 2.0194 0.3282 5.8421
Br -0.0130 4.1202 8.2500
Br 3.5636 2.0589 0.4908
Br 1.5311 5.8509 2.8987
Br 2.8310 4.2714 5.8505
Br 5.8049 1.5831 5.8432
```

Most intense lines, 2θ = 10–90°, low angle first:
2theta  I_rel
14.3  55
25.0  70
27.0  100
27.1  50
30.7  95
30.8  53
32.4  82
32.5  40
43.9  45
44.1  58

[3]
Simulated PXRD pattern
Compound: CrHg2Br4
Radiation: λ = 1.5418 Å (Cu Kα)
Structure: a DFT-relaxed cell (PBE, Alexandria)
Peak positions follow from Bragg's law for the DFT cell and can differ from measured ones.

Cell and atoms:
```
7
Lattice="-2.5570 2.5570 8.0874 2.5570 -2.5570 8.0874 2.5570 2.5570 -8.0874" Properties=species:S:1:pos:R:3 pbc="T T T"
Cr 0.0000 0.0000 0.0000
Hg 0.0000 0.0000 5.6855
Hg 0.0000 0.0000 10.4893
Br 2.5570 0.0000 0.0000
Br 0.0000 0.0000 2.5037
Br 0.0000 2.5570 0.0000
Br 0.0000 0.0000 13.6712
```

Most intense lines, 2θ = 10–90°, low angle first:
2theta  I_rel
24.0  38
24.6  51
27.0  33
33.2  100
35.1  61
41.8  22
43.0  22
49.1  35
61.8  42
84.8  25

[4]
Simulated PXRD pattern
Compound: CrInBr2
Radiation: λ = 1.5418 Å (Cu Kα)
Structure: a DFT-relaxed cell (PBE, Alexandria)
Peak positions follow from Bragg's law for the DFT cell and can differ from measured ones.

Cell and atoms:
```
4
Lattice="1.9206 -3.2319 0.0000 1.9206 3.2319 0.0000 0.0000 0.0000 9.4780" Properties=species:S:1:pos:R:3 pbc="T T T"
Cr 0.0000 0.0000 0.0000
In 1.9206 0.0000 7.3526
Br 0.0000 0.0000 5.3442
Br 1.9206 0.0000 1.6600
```

Most intense lines, 2θ = 10–90°, low angle first:
2theta  I_rel
18.7  14
27.6  61
28.6  12
33.1  100
39.5  44
47.3  13
52.4  26
55.7  16
56.3  14
57.0  22

[5]
Simulated PXRD pattern
Compound: K3Cr2Br7
Radiation: λ = 1.5418 Å (Cu Kα)
Structure: a DFT-relaxed cell (PBE, Alexandria)
Peak positions follow from Bragg's law for the DFT cell and can differ from measured ones.

Cell and atoms:
```
12
Lattice="-2.6508 2.6508 13.3919 2.6508 -2.6508 13.3919 2.6508 2.6508 -13.3919" Properties=species:S:1:pos:R:3 pbc="T T T"
K 0.0000 0.0000 0.0000
K 0.0000 0.0000 4.8195
K 0.0000 0.0000 21.9643
Cr 0.0000 0.0000 10.7391
Cr 0.0000 0.0000 16.0447
Br 2.6508 0.0000 2.5768
Br 0.0000 0.0000 8.1422
Br 2.6508 0.0000 10.8150
Br 0.0000 0.0000 13.3919
Br 0.0000 2.6508 2.5768
Br 0.0000 0.0000 18.6416
Br 0.0000 2.6508 10.8150
```

Most intense lines, 2θ = 10–90°, low angle first:
2theta  I_rel
13.2  28
17.0  38
27.3  50
31.2  85
33.5  43
33.8  100
48.3  58
48.6  34
60.3  29
81.2  27

[6]
Simulated PXRD pattern
Compound: KCrBr
Radiation: λ = 1.5418 Å (Cu Kα)
Structure: a DFT-relaxed cell (PBE, Alexandria)
Peak positions follow from Bragg's law for the DFT cell and can differ from measured ones.

Cell and atoms:
```
3
Lattice="4.9894 0.0000 0.0000 -2.4947 4.3210 0.0000 0.0000 0.0000 4.5982" Properties=species:S:1:pos:R:3 pbc="T T T"
K 0.0000 0.0000 0.0000
Cr 0.0000 2.8807 2.3010
Br 2.4947 1.4403 2.2876
```

Most intense lines, 2θ = 10–90°, low angle first:
2theta  I_rel
19.3  31
20.6  11
28.3  100
36.0  64
39.2  17
41.2  26
46.4  24
54.3  36
60.1  21
78.3  12

[7]
Simulated PXRD pattern
Compound: K3CrBr8
Radiation: λ = 1.5418 Å (Cu Kα)
Structure: a DFT-relaxed cell (PBE, Alexandria)
Peak positions follow from Bragg's law for the DFT cell and can differ from measured ones.

Cell and atoms:
```
12
Lattice="-3.8070 3.8070 7.0711 3.8070 -3.8070 7.0711 3.8070 3.8070 -7.0711" Properties=species:S:1:pos:R:3 pbc="T T T"
K 0.0000 0.0000 0.0000
K 3.8070 0.0000 3.5356
K 0.0000 3.8070 3.5356
Cr 0.0000 0.0000 7.0711
Br 2.1789 2.1789 -1.5926
Br 1.6282 -1.6282 5.4785
Br 2.1789 2.1789 1.5926
Br 1.6282 -1.6282 8.6637
Br -1.6282 1.6282 5.4785
Br 1.6282 1.6282 5.4785
Br -1.6282 1.6282 8.6637
Br 1.6282 1.6282 8.6637
```

Most intense lines, 2θ = 10–90°, low angle first:
2theta  I_rel
13.2  31
20.7  24
23.4  43
25.2  21
33.3  51
34.6  100
35.9  15
43.3  17
47.8  12
60.3  18